Starting from a crystal structure in OQMD, relaxed with GGA-PBE, the powder diffraction line list of TePIr was computed for CuKα.
Peak positions follow from Bragg's law for the DFT cell and can differ from measured ones.

Atomic structure:
Cell: 6.1005 6.1115 12.3696 Å, 90.00 90.00 90.00°
Element x y z (fractional)
Te (0.1201, 0.2098, 0.0727)
Te (0.1201, 0.2902, 0.5727)
Te (0.3799, 0.7098, 0.0727)
Te (0.3799, 0.7902, 0.5727)
Te (0.6201, 0.2098, 0.4273)
Te (0.6201, 0.2902, 0.9273)
Te (0.8799, 0.7098, 0.4273)
Te (0.8799, 0.7902, 0.9273)
P (0.1234, 0.5466, 0.8099)
P (0.1234, 0.9534, 0.3099)
P (0.3766, 0.0466, 0.8099)
P (0.3766, 0.4534, 0.3099)
P (0.6234, 0.5466, 0.6901)
P (0.6234, 0.9534, 0.1901)
P (0.8766, 0.0466, 0.6901)
P (0.8766, 0.4534, 0.1901)
Ir (0.0216, 0.1761, 0.8579)
Ir (0.0216, 0.3239, 0.3579)
Ir (0.4784, 0.6761, 0.8579)
Ir (0.4784, 0.8239, 0.3579)
Ir (0.5216, 0.1761, 0.6421)
Ir (0.5216, 0.3239, 0.1421)
Ir (0.9784, 0.6761, 0.6421)
Ir (0.9784, 0.8239, 0.1421)

The 6 most intense peaks (10 to 90 degrees two-theta), in order of rising 2θ:
| d_spacing | two_theta | Rel. int. | (hkl) |
| --- | --- | --- | --- |
| 3.540 | 25.2 | 619 | 1 1 2 |
| 3.092 | 28.9 | 561 | 0 0 4 |
| 3.053 | 29.3 | 1000 | 0 2 0 |
| 2.514 | 35.7 | 699 | 1 1 4 |
| 1.910 | 47.6 | 495 | 1 3 1 |
| 1.842 | 49.5 | 595 | 3 1 2 |